(1)
Simulated X-ray diffraction stick pattern
Compound: LiEr4Zr4O14
Radiation: Cu Kα
Structure: a DFT-relaxed cell (GGA-PBE, the Materials Project)
Intensities are scaled so that the largest is 100.

Cell and atoms:
Unit cell a=3.6299 b=7.5387 c=10.7120 alpha=90.00 beta=90.46 gamma=90.00
Element x y z (fractional)
Li (0.0000, 0.0000, 0.0000)
Er (0.4948, 0.2725, 0.0129)
Er (0.4948, 0.7275, 0.0129)
Er (0.9722, 0.0000, 0.7322)
Er (0.9768, 0.5000, 0.2724)
Zr (0.4752, 0.2607, 0.5077)
Zr (0.4752, 0.7393, 0.5077)
Zr (0.9638, 0.0000, 0.2553)
Zr (0.9772, 0.5000, 0.7480)
O (0.4659, 0.5000, 0.6168)
O (0.4675, 0.0000, 0.6114)
O (0.4715, 0.0000, 0.3453)
O (0.4774, 0.5000, 0.3817)
O (0.4836, 0.5000, 0.8650)
O (0.5072, 0.0000, 0.0805)
O (0.9645, 0.2679, 0.6462)
O (0.9645, 0.7321, 0.6462)
O (0.9715, 0.2342, 0.4082)
O (0.9715, 0.7658, 0.4082)
O (0.9925, 0.1984, 0.8941)
O (0.9925, 0.8016, 0.8941)
O (0.9956, 0.2548, 0.1548)
O (0.9956, 0.7452, 0.1548)

Largest 6 diffraction maxima, in order of falling intensity, 10° ≤ 2θ ≤ 90°:
2θ/deg	I_rel
28.97	100
29.62	50
29.85	48
34.30	41
48.83	33
48.52	32


(2)
Simulated X-ray diffraction stick pattern
Compound: MnBiS2Cl
Radiation: Cu Kα
Structure: a DFT-relaxed cell (GGA-PBE, the Materials Project)
Intensities are scaled so that the largest is 100.

Cell and atoms:
Unit cell a=9.5064 b=3.8881 c=12.3999 alpha=90.00 beta=90.00 gamma=90.00
Element x y z (fractional)
Mn (0.0056, 0.2500, 0.2404)
Mn (0.4944, 0.7500, 0.7404)
Mn (0.5056, 0.2500, 0.2596)
Mn (0.9944, 0.7500, 0.7596)
Bi (0.1985, 0.7500, 0.4694)
Bi (0.3015, 0.2500, 0.9694)
Bi (0.6985, 0.7500, 0.0306)
Bi (0.8015, 0.2500, 0.5306)
S (0.0518, 0.2500, 0.6195)
S (0.2490, 0.7500, 0.8222)
S (0.2510, 0.2500, 0.3222)
S (0.4482, 0.7500, 0.1195)
S (0.5518, 0.2500, 0.8805)
S (0.7490, 0.7500, 0.6778)
S (0.7510, 0.2500, 0.1778)
S (0.9482, 0.7500, 0.3805)
Cl (0.0656, 0.7500, 0.1133)
Cl (0.4344, 0.2500, 0.6133)
Cl (0.5656, 0.7500, 0.3867)
Cl (0.9344, 0.2500, 0.8867)

Largest 6 diffraction maxima, in order of falling intensity, 10° ≤ 2θ ≤ 90°:
2θ/deg	I_rel
33.02	100
25.78	77
23.59	65
31.59	51
14.29	41
47.51	33


(3)
Simulated X-ray diffraction stick pattern
Compound: LiBIr
Radiation: Cu Kα
Structure: a DFT-relaxed cell (GGA-PBE, the Materials Project)
Intensities are scaled so that the largest is 100.

Cell and atoms:
Unit cell a=6.9955 b=6.1010 c=5.5559 alpha=73.59 beta=56.78 gamma=49.63
Element x y z (fractional)
Li (0.0000, 0.0000, 0.0000)
Li (0.0000, 0.0000, 0.5000)
Li (0.0000, 0.5000, 0.0000)
Li (0.5000, 0.0000, 0.0000)
B (0.1987, 0.5513, 0.1987)
B (0.4487, 0.8013, 0.4487)
B (0.5513, 0.1987, 0.5513)
B (0.8013, 0.4487, 0.8013)
Ir (0.2419, 0.2419, 0.5081)
Ir (0.4919, 0.4919, 0.7581)
Ir (0.5081, 0.5081, 0.2419)
Ir (0.7581, 0.7581, 0.4919)

Largest 6 diffraction maxima, in order of falling intensity, 10° ≤ 2θ ≤ 90°:
2θ/deg	I_rel
19.22	100
34.91	48
30.88	41
49.60	38
34.10	25
33.63	23


(4)
Simulated X-ray diffraction stick pattern
Compound: CrN2
Radiation: Cu Kα
Structure: a DFT-relaxed cell (GGA-PBE, the Materials Project)
Intensities are scaled so that the largest is 100.

Cell and atoms:
Unit cell a=5.4823 b=5.4823 c=5.9933 alpha=90.00 beta=90.00 gamma=120.00
Element x y z (fractional)
Cr (0.0000, 0.4869, 0.3333)
Cr (0.4869, 0.0000, 0.6667)
Cr (0.5131, 0.5131, 0.0000)
N (0.1979, 0.7681, 0.5216)
N (0.2319, 0.4298, 0.1883)
N (0.4298, 0.2319, 0.8117)
N (0.5702, 0.8021, 0.8549)
N (0.7681, 0.1979, 0.4784)
N (0.8021, 0.5702, 0.1451)

Largest 6 diffraction maxima, in order of falling intensity, 10° ≤ 2θ ≤ 90°:
2θ/deg	I_rel
23.91	100
18.69	21
44.81	18
60.56	14
37.90	12
35.42	11


(5)
Simulated X-ray diffraction stick pattern
Compound: La2BiN
Radiation: Cu Kα
Structure: a DFT-relaxed cell (GGA-PBE, the Materials Project)
Intensities are scaled so that the largest is 100.

Cell and atoms:
Unit cell a=4.8380 b=4.8380 c=9.5218 alpha=90.00 beta=90.00 gamma=90.00
Element x y z (fractional)
La (0.2500, 0.2500, 0.1750)
La (0.2500, 0.7500, 0.5000)
La (0.7500, 0.2500, 0.5000)
La (0.7500, 0.7500, 0.8250)
Bi (0.2500, 0.2500, 0.8020)
Bi (0.7500, 0.7500, 0.1980)
N (0.2500, 0.2500, 0.4125)
N (0.7500, 0.7500, 0.5875)

Largest 6 diffraction maxima, in order of falling intensity, 10° ≤ 2θ ≤ 90°:
2θ/deg	I_rel
32.22	100
27.71	67
37.17	59
28.11	49
47.24	48
55.20	32